The following is a computed X-ray diffraction stick pattern of NaCrCuF6. It was derived from a crystal structure in Alexandria, relaxed with PBE+U, using λ = 1.5418 Å (Cu Kα).
Lines closer than 0.1° are merged.

Peak list (8 most intense, 10 to 90 degrees two-theta, in order of rising 2θ)
18.1°, d = 4.902 Å, intensity 840, (0 0 2)
19.4°, d = 4.583 Å, intensity 334, (1 0 0)
26.6°, d = 3.348 Å, intensity 1000, (1 0 2)
33.9°, d = 2.646 Å, intensity 272, (1 1 0)
38.7°, d = 2.328 Å, intensity 768, (1 1 2)
50.8°, d = 1.798 Å, intensity 783, (1 1 4)
56.3°, d = 1.633 Å, intensity 224, (2 1 2)
60.6°, d = 1.528 Å, intensity 317, (3 0 0)

Structure:
```
data_NaCrCuF6
_chemical_formula_sum 'Na2 Cr2 Cu2 F12'
_cell_length_a 5.2920
_cell_length_b 5.2920
_cell_length_c 9.8038
_cell_angle_alpha 90.00
_cell_angle_beta 90.00
_cell_angle_gamma 120.00
_symmetry_space_group_name_H-M 'P 1'
_symmetry_Int_Tables_number 1
loop_
_symmetry_equiv_pos_as_xyz
'x,y,z'
loop_
_atom_site_label
_atom_site_fract_x
_atom_site_fract_y
_atom_site_fract_z
Na1 0.0000 0.0000 0.0000
Na2 0.0000 0.0000 0.5000
Cr1 0.3333 0.6667 0.2500
Cr2 0.6667 0.3333 0.7500
Cu1 0.3333 0.6667 0.7500
Cu2 0.6667 0.3333 0.2500
F1 0.0146 0.3678 0.1412
F2 0.0146 0.6468 0.3588
F3 0.3532 0.3678 0.3588
F4 0.3532 0.9854 0.1412
F5 0.3678 0.0146 0.6412
F6 0.3678 0.3532 0.8588
F7 0.6322 0.6468 0.1412
F8 0.6322 0.9854 0.3588
F9 0.6468 0.0146 0.8588
F10 0.6468 0.6322 0.6412
F11 0.9854 0.3532 0.6412
F12 0.9854 0.6322 0.8588
```